Starting from a PBE-relaxed structure, the PXRD pattern of GaAuI was simulated for λ = 1.5418 Å (Cu Kα).

Principal peaks in the range 2θ from 10° to 90°, by intensity:
2θ/deg, intensity, (hkl)
25.2, 100, 0 1 2
18.6, 55, 1 0 1
15.9, 49, 1 0 0
44.0, 44, 2 1 1
34.0, 36, 1 1 2
27.6, 34, 1 1 0

Structure:
```
GaAuI
1.0
6.4553 0.0000 0.0000
-3.2276 5.5904 0.0000
0.0000 0.0000 9.1081
Ga Au I
3 3 3
Direct
0.1651 0.0291 0.0000 Ga
0.8639 0.8349 0.3333 Ga
0.9709 0.1361 0.6667 Ga
0.0894 0.6962 0.1713 Au
0.3038 0.3931 0.8379 Au
0.6069 0.9106 0.5046 Au
0.1524 0.8012 0.5945 I
0.1988 0.3513 0.2611 I
0.6487 0.8476 0.9278 I
```